1.
Simulated powder diffraction line list
Compound: Sc5In2H
Radiation: λ = 1.5418 Å (Cu Kα)
Structure: a structure optimized by DFT (PBE)
Neutral-atom scattering factors, no anomalous dispersion.

Cell and atoms:
```
data_Sc5In2H
_cell_length_a 6.392
_cell_length_b 6.392
_cell_length_c 8.604
_cell_angle_alpha 90.00
_cell_angle_beta 90.00
_cell_angle_gamma 90.00
_symmetry_space_group_name_H-M 'I 4 m m'
_symmetry_Int_Tables_number 107
_symmetry_space_group_name_Hall 'I 4 -2'
loop_
_atom_site_label
_atom_site_fract_x
_atom_site_fract_y
_atom_site_fract_z
Sc1 0.000 0.000 0.000
Sc2 0.247 0.247 0.746
In1 0.000 0.500 0.497
H1 0.000 0.000 0.240
```

Peak list (6 most intense, 2θ from 15° to 90°, sorted by position)
| d_spacing | I_rel |
| --- | --- |
| 4.520 | 35 |
| 3.116 | 30 |
| 2.566 | 100 |
| 2.260 | 35 |
| 1.558 | 20 |
| 1.356 | 24 |


2.
Simulated powder diffraction line list
Compound: CsRbPbO2
Radiation: λ = 1.5418 Å (Cu Kα)
Structure: a structure optimized by DFT (PBE)
Neutral-atom scattering factors, no anomalous dispersion.

Cell and atoms:
```
data_CsRbPbO2
_cell_length_a 14.811
_cell_length_b 3.859
_cell_length_c 11.075
_cell_angle_alpha 90.00
_cell_angle_beta 112.10
_cell_angle_gamma 90.00
_symmetry_space_group_name_H-M 'C 1 2/m 1'
_symmetry_Int_Tables_number 12
_symmetry_space_group_name_Hall '-C 2y'
loop_
_atom_site_label
_atom_site_fract_x
_atom_site_fract_y
_atom_site_fract_z
Cs1 0.148 0.000 0.135
Rb1 0.161 0.000 0.537
Pb1 0.022 0.500 0.730
O1 0.045 0.000 0.852
O2 0.136 0.500 0.343
```

Peak list (6 most intense, 2θ from 15° to 90°, sorted by position)
| d_spacing | I_rel |
| --- | --- |
| 5.132 | 30 |
| 3.526 | 100 |
| 3.166 | 93 |
| 2.949 | 79 |
| 2.207 | 25 |
| 1.692 | 25 |


3.
Simulated powder diffraction line list
Compound: TbCd11
Radiation: λ = 1.5418 Å (Cu Kα)
Structure: a structure optimized by DFT (PBE)
Neutral-atom scattering factors, no anomalous dispersion.

Cell and atoms:
```
data_TbCd11
_cell_length_a 11.955
_cell_length_b 11.955
_cell_length_c 7.728
_cell_angle_alpha 90.00
_cell_angle_beta 90.00
_cell_angle_gamma 90.00
_symmetry_space_group_name_H-M 'I 41/a m d'
_symmetry_Int_Tables_number 141
loop_
_symmetry_equiv_pos_as_xyz
'x,y,z'
'-x,-y,-z'
'-y+1/4,x+3/4,z+1/4'
'y+1/4,-x+3/4,-z+1/4'
'-x+1/2,-y,z+1/2'
'x+1/2,y,-z+1/2'
'y+1/4,-x+1/4,z+3/4'
'-y+1/4,x+1/4,-z+3/4'
'x,-y,-z'
'-x,y,z'
'-y+1/4,-x+1/4,-z+3/4'
'y+1/4,x+1/4,z+3/4'
'-x+1/2,y,-z+1/2'
'x+1/2,-y,z+1/2'
'y+1/4,x+3/4,-z+1/4'
'-y+1/4,-x+3/4,z+1/4'
'x+1/2,y+1/2,z+1/2'
'-x+1/2,-y+1/2,-z+1/2'
'-y+3/4,x+1/4,z+3/4'
'y+3/4,-x+1/4,-z+3/4'
'-x,-y+1/2,z'
'x,y+1/2,-z'
'y+3/4,-x+3/4,z+1/4'
'-y+3/4,x+3/4,-z+1/4'
'x+1/2,-y+1/2,-z+1/2'
'-x+1/2,y+1/2,z+1/2'
'-y+3/4,-x+3/4,-z+1/4'
'y+3/4,x+3/4,z+1/4'
'-x,y+1/2,-z'
'x,-y+1/2,z'
'y+3/4,x+1/4,-z+3/4'
'-y+3/4,-x+1/4,z+3/4'
loop_
_atom_site_label
_atom_site_fract_x
_atom_site_fract_y
_atom_site_fract_z
Tb1 0.000 0.250 0.375
Cd1 0.000 0.000 0.000
Cd2 0.000 0.250 0.875
Cd3 0.120 0.050 0.668
```

Peak list (6 most intense, 2θ from 15° to 90°, sorted by position)
| d_spacing | I_rel |
| --- | --- |
| 3.047 | 32 |
| 2.702 | 100 |
| 2.673 | 60 |
| 2.518 | 28 |
| 2.284 | 77 |
| 1.549 | 31 |


4.
Simulated powder diffraction line list
Compound: Na5Hg2O4
Radiation: λ = 1.5418 Å (Cu Kα)
Structure: a structure optimized by DFT (PBE)
Neutral-atom scattering factors, no anomalous dispersion.

Cell and atoms:
```
data_Na5Hg2O4
_cell_length_a 17.186
_cell_length_b 3.554
_cell_length_c 6.453
_cell_angle_alpha 90.00
_cell_angle_beta 108.77
_cell_angle_gamma 90.00
_symmetry_space_group_name_H-M 'C 1 2/m 1'
_symmetry_Int_Tables_number 12
_symmetry_space_group_name_Hall '-C 2y'
loop_
_atom_site_label
_atom_site_fract_x
_atom_site_fract_y
_atom_site_fract_z
Na1 0.000 0.000 0.000
Na2 0.176 0.500 0.924
Na3 0.210 0.000 0.347
Hg1 0.086 0.500 0.483
O1 0.034 0.500 0.786
O2 0.218 0.000 0.721
```

Peak list (6 most intense, 2θ from 15° to 90°, sorted by position)
| d_spacing | I_rel |
| --- | --- |
| 3.472 | 100 |
| 3.112 | 70 |
| 2.935 | 71 |
| 2.841 | 44 |
| 2.439 | 54 |
| 2.400 | 50 |


5.
Simulated powder diffraction line list
Compound: Ce3YTl3Se8
Radiation: λ = 1.5418 Å (Cu Kα)
Structure: a structure optimized by DFT (PBE)
Neutral-atom scattering factors, no anomalous dispersion.

Cell and atoms:
```
data_Ce3YTl3Se8
_cell_length_a 14.801
_cell_length_b 8.548
_cell_length_c 9.186
_cell_angle_alpha 90.00
_cell_angle_beta 122.51
_cell_angle_gamma 90.00
_symmetry_space_group_name_H-M 'C 1 2/m 1'
_symmetry_Int_Tables_number 12
_symmetry_space_group_name_Hall '-C 2y'
loop_
_atom_site_label
_atom_site_fract_x
_atom_site_fract_y
_atom_site_fract_z
Ce1 0.000 0.000 0.000
Ce2 0.250 0.250 0.000
Y1 0.000 0.500 0.000
Tl1 0.000 0.500 0.500
Tl2 0.250 0.250 0.500
Se1 0.015 0.253 0.797
Se2 0.232 0.500 0.202
Se3 0.237 0.000 0.209
```

Peak list (6 most intense, 2θ from 15° to 90°, sorted by position)
| d_spacing | I_rel |
| --- | --- |
| 3.121 | 100 |
| 2.285 | 36 |
| 2.137 | 37 |
| 1.763 | 20 |
| 1.435 | 13 |
| 1.360 | 16 |


6.
Simulated powder diffraction line list
Compound: In5Ga4Sn
Radiation: λ = 1.5418 Å (Cu Kα)
Structure: a structure optimized by DFT (PBE)
Neutral-atom scattering factors, no anomalous dispersion.

Cell and atoms:
```
data_In5Ga4Sn
_cell_length_a 10.439
_cell_length_b 4.208
_cell_length_c 10.937
_cell_angle_alpha 90.00
_cell_angle_beta 90.13
_cell_angle_gamma 90.00
_symmetry_space_group_name_H-M 'C 1 m 1'
_symmetry_Int_Tables_number 8
_symmetry_space_group_name_Hall 'C -2y'
loop_
_atom_site_label
_atom_site_fract_x
_atom_site_fract_y
_atom_site_fract_z
In1 0.000 0.000 0.000
In2 0.013 0.500 0.479
In3 0.098 0.000 0.698
In4 0.212 0.500 0.898
In5 0.401 0.500 0.281
Ga1 0.109 0.500 0.188
Ga2 0.203 0.000 0.372
Ga3 0.292 0.000 0.100
Ga4 0.401 0.000 0.790
Sn1 0.304 0.500 0.584
```

Peak list (6 most intense, 2θ from 15° to 90°, sorted by position)
| d_spacing | I_rel |
| --- | --- |
| 2.665 | 100 |
| 2.603 | 96 |
| 2.420 | 38 |
| 2.357 | 35 |
| 2.104 | 26 |
| 1.588 | 20 |


7.
Simulated powder diffraction line list
Compound: SmPaRh2
Radiation: λ = 1.5418 Å (Cu Kα)
Structure: a structure optimized by DFT (PBE)
Neutral-atom scattering factors, no anomalous dispersion.

Cell and atoms:
```
data_SmPaRh2
_cell_length_a 3.479
_cell_length_b 3.479
_cell_length_c 7.089
_cell_angle_alpha 90.00
_cell_angle_beta 90.00
_cell_angle_gamma 90.00
_symmetry_space_group_name_H-M 'P 4/m m m'
_symmetry_Int_Tables_number 123
_symmetry_space_group_name_Hall '-P 4 2'
loop_
_atom_site_label
_atom_site_fract_x
_atom_site_fract_y
_atom_site_fract_z
Sm1 0.000 0.000 0.000
Pa1 0.000 0.000 0.500
Rh1 0.500 0.500 0.290
```

Peak list (6 most intense, 2θ from 15° to 90°, sorted by position)
| d_spacing | I_rel |
| --- | --- |
| 3.479 | 10 |
| 2.483 | 100 |
| 2.460 | 53 |
| 1.740 | 19 |
| 1.438 | 14 |
| 1.425 | 36 |


8.
Simulated powder diffraction line list
Compound: Sn2Pd5Pt4
Radiation: λ = 1.5418 Å (Cu Kα)
Structure: a structure optimized by DFT (PBE)
Neutral-atom scattering factors, no anomalous dispersion.

Cell and atoms:
```
data_Sn2Pd5Pt4
_cell_length_a 29.066
_cell_length_b 2.883
_cell_length_c 4.494
_cell_angle_alpha 90.00
_cell_angle_beta 95.86
_cell_angle_gamma 90.00
_symmetry_space_group_name_H-M 'C 1 2/m 1'
_symmetry_Int_Tables_number 12
_symmetry_space_group_name_Hall '-C 2y'
loop_
_atom_site_label
_atom_site_fract_x
_atom_site_fract_y
_atom_site_fract_z
Sn1 0.128 0.000 0.100
Pd1 0.000 0.000 0.500
Pd2 0.096 0.500 0.565
Pd3 0.191 0.500 0.790
Pt1 0.044 0.500 0.032
Pt2 0.219 0.000 0.308
```

Peak list (6 most intense, 2θ from 15° to 90°, sorted by position)
| d_spacing | I_rel |
| --- | --- |
| 2.405 | 100 |
| 2.381 | 45 |
| 2.322 | 79 |
| 2.244 | 52 |
| 2.218 | 61 |
| 2.146 | 50 |


9.
Simulated powder diffraction line list
Compound: Pm4Tl2Pb3
Radiation: λ = 1.5418 Å (Cu Kα)
Structure: a structure optimized by DFT (PBE)
Neutral-atom scattering factors, no anomalous dispersion.

Cell and atoms:
```
data_Pm4Tl2Pb3
_cell_length_a 7.403
_cell_length_b 15.556
_cell_length_c 10.251
_cell_angle_alpha 90.00
_cell_angle_beta 90.00
_cell_angle_gamma 90.00
_symmetry_space_group_name_H-M 'C m c e'
_symmetry_Int_Tables_number 64
_symmetry_space_group_name_Hall '-C 2ac 2'
loop_
_atom_site_label
_atom_site_fract_x
_atom_site_fract_y
_atom_site_fract_z
Pm1 0.000 0.201 0.009
Pm2 0.250 0.038 0.750
Tl1 0.000 0.098 0.419
Pb1 0.000 0.000 0.000
Pb2 0.250 0.250 0.250
```

Peak list (6 most intense, 2θ from 15° to 90°, sorted by position)
| d_spacing | I_rel |
| --- | --- |
| 3.001 | 100 |
| 2.762 | 58 |
| 2.564 | 23 |
| 2.376 | 27 |
| 2.140 | 21 |
| 1.900 | 20 |


Please write out number 9 again, unchanged.
Simulated powder diffraction line list
Compound: Pm4Tl2Pb3
Radiation: λ = 1.5418 Å (Cu Kα)
Structure: a structure optimized by DFT (PBE)
Neutral-atom scattering factors, no anomalous dispersion.

Cell and atoms:
```
data_Pm4Tl2Pb3
_cell_length_a 7.403
_cell_length_b 15.556
_cell_length_c 10.251
_cell_angle_alpha 90.00
_cell_angle_beta 90.00
_cell_angle_gamma 90.00
_symmetry_space_group_name_H-M 'C m c e'
_symmetry_Int_Tables_number 64
_symmetry_space_group_name_Hall '-C 2ac 2'
loop_
_atom_site_label
_atom_site_fract_x
_atom_site_fract_y
_atom_site_fract_z
Pm1 0.000 0.201 0.009
Pm2 0.250 0.038 0.750
Tl1 0.000 0.098 0.419
Pb1 0.000 0.000 0.000
Pb2 0.250 0.250 0.250
```

Peak list (6 most intense, 2θ from 15° to 90°, sorted by position)
| d_spacing | I_rel |
| --- | --- |
| 3.001 | 100 |
| 2.762 | 58 |
| 2.564 | 23 |
| 2.376 | 27 |
| 2.140 | 21 |
| 1.900 | 20 |